No. 1
Structure and theoretical powder diffractogram of Sr4AgH (a crystal structure in Alexandria, relaxed with GGA-PBE; Cu Kα (weighted mean of Kα1 and Kα2)).
Neutral-atom scattering factors, no anomalous dispersion.

Main lines, low angle first (15 to 90 degrees two-theta):
d [Å]  I (rel.)
5.109  19
5.058  22
3.594  25
3.335  100
3.309  23
3.154  34
3.141  22
3.031  45
2.686  17
2.555  23
2.529  18
1.984  26

Structural model:
Unit cell a=6.682 b=10.218 c=6.731 alpha=90.00 beta=97.91 gamma=90.00
Element x y z (fractional)
Sr  0.165  0.250  0.271
Sr  0.228  0.750  0.337
Sr  0.281  0.043  0.780
Sr  0.281  0.457  0.780
Sr  0.719  0.543  0.220
Sr  0.719  0.957  0.220
Sr  0.772  0.250  0.663
Sr  0.835  0.750  0.729
Ag  0.397  0.750  0.900
Ag  0.603  0.250  0.100
H  0.134  0.250  0.630
H  0.866  0.750  0.370

---

No. 2
Structure and theoretical powder diffractogram of TcAgH2 (a crystal structure in Alexandria, relaxed with GGA-PBE; Cu Kα (weighted mean of Kα1 and Kα2)).
Neutral-atom scattering factors, no anomalous dispersion.

Main lines, low angle first (15 to 90 degrees two-theta):
d [Å]  I (rel.)
2.577  70
2.276  100
1.822  25
1.457  6
1.422  42
1.288  8
1.268  14
1.152  11
1.138  10
1.121  10

Structural model:
Unit cell a=4.666 b=4.666 c=4.666 alpha=112.96 beta=112.96 gamma=102.70
Element x y z (fractional)
Tc  0.000  0.000  0.000
Tc  0.750  0.250  0.500
Ag  0.250  0.750  0.500
Ag  0.500  0.500  0.000
H  0.065  0.625  0.940
H  0.375  0.315  0.440
H  0.685  0.125  0.060
H  0.875  0.935  0.560

---

No. 3
Structure and theoretical powder diffractogram of Ag2TeH2 (a crystal structure in Alexandria, relaxed with GGA-PBE; Cu Kα (weighted mean of Kα1 and Kα2)).
Neutral-atom scattering factors, no anomalous dispersion.

Main lines, low angle first (15 to 90 degrees two-theta):
d [Å]  I (rel.)
4.446  48
3.685  84
3.293  29
3.088  55
2.780  25
2.703  58
2.478  60
2.444  100
2.387  71
2.203  26
2.164  43
2.131  31

Structural model:
Unit cell a=3.001 b=8.892 c=6.751 alpha=90.00 beta=102.69 gamma=90.00
Element x y z (fractional)
Ag  0.073  0.000  0.144
Ag  0.375  0.174  0.747
Ag  0.625  0.674  0.253
Ag  0.927  0.500  0.856
Te  0.313  0.738  0.632
Te  0.687  0.238  0.368
H  0.066  0.587  0.133
H  0.439  0.377  0.880
H  0.561  0.877  0.120
H  0.934  0.087  0.867

---

No. 4
Structure and theoretical powder diffractogram of YAgH (a crystal structure in Alexandria, relaxed with GGA-PBE; Cu Kα (weighted mean of Kα1 and Kα2)).
Neutral-atom scattering factors, no anomalous dispersion.

Main lines, low angle first (15 to 90 degrees two-theta):
d [Å]  I (rel.)
2.608  100
2.597  62
2.451  7
2.050  21
1.836  22
1.508  8
1.502  34
1.368  10
1.298  7
1.287  9
1.162  16
1.153  6

Structural model:
Unit cell a=3.672 b=3.672 c=7.411 alpha=90.00 beta=90.00 gamma=90.00
Element x y z (fractional)
Y  0.250  0.250  0.172
Y  0.750  0.750  0.828
Ag  0.250  0.250  0.595
Ag  0.750  0.750  0.405
H  0.250  0.750  0.000
H  0.750  0.250  0.000

---

Please write out number 2 again, unchanged.
Structure and theoretical powder diffractogram of TcAgH2 (a crystal structure in Alexandria, relaxed with GGA-PBE; Cu Kα (weighted mean of Kα1 and Kα2)).
Neutral-atom scattering factors, no anomalous dispersion.

Main lines, low angle first (15 to 90 degrees two-theta):
d [Å]  I (rel.)
2.577  70
2.276  100
1.822  25
1.457  6
1.422  42
1.288  8
1.268  14
1.152  11
1.138  10
1.121  10

Structural model:
Unit cell a=4.666 b=4.666 c=4.666 alpha=112.96 beta=112.96 gamma=102.70
Element x y z (fractional)
Tc  0.000  0.000  0.000
Tc  0.750  0.250  0.500
Ag  0.250  0.750  0.500
Ag  0.500  0.500  0.000
H  0.065  0.625  0.940
H  0.375  0.315  0.440
H  0.685  0.125  0.060
H  0.875  0.935  0.560